[1]
YTl2AgF6: computed PXRD pattern (λ = 1.5418 Å (Cu Kα)), based on a PBE-relaxed structure.
Intensities are scaled so that the largest is 100.

Cell lengths 6.3876, 6.4900, 11.2269 Å; angles 90.00, 123.82, 90.00 degrees
Space group P2_1/c (No. 14)
One atom of each set of equivalent atoms:
Y (0.0000, 0.0000, 0.0000) (multiplicity 2)
Tl (0.2622, 0.0377, 0.7520) (multiplicity 4)
Ag (0.5000, 0.0000, 0.5000) (multiplicity 2)
F (0.1423, 0.0292, 0.2282) (multiplicity 4)
F (0.2334, 0.7239, 0.0457) (multiplicity 4)
F (0.3155, 0.1922, 0.0373) (multiplicity 4)

Principal peaks in the range 10° ≤ 2θ ≤ 80°, by angle:
index, two_theta, I/Imax
1 1 1, 27.23, 71.3
1 1 -3, 27.51, 100.0
2 0 -2, 27.94, 33.0
0 0 4, 38.61, 21.0
2 2 -2, 39.60, 33.6
0 2 4, 48.02, 22.8
2 0 -6, 48.65, 20.0
3 1 -1, 48.82, 17.4


[2]
Tl2ZnAgF6: computed PXRD pattern (λ = 1.5418 Å (Cu Kα)), based on a PBE-relaxed structure.
Intensities are scaled so that the largest is 100.

Cell lengths 6.0164, 6.0164, 9.0856 Å; angles 90.00, 90.00, 90.00 degrees
Space group I4/mmm (No. 139)
One atom of each set of equivalent atoms:
Tl (0.0000, 0.5000, 0.2500) (multiplicity 4)
Zn (0.0000, 0.0000, 0.0000) (multiplicity 2)
Ag (0.0000, 0.0000, 0.5000) (multiplicity 2)
F (0.0000, 0.0000, 0.2180) (multiplicity 4)
F (0.2458, 0.2458, 0.0000) (multiplicity 8)

Principal peaks in the range 10° ≤ 2θ ≤ 80°, by angle:
index, two_theta, I/Imax
1 1 2, 28.75, 100.0
2 0 0, 29.70, 45.5
2 0 2, 35.80, 20.6
0 0 4, 39.68, 16.8
2 2 0, 42.50, 28.5
2 0 4, 50.34, 20.7
3 1 2, 52.12, 39.2
2 2 4, 59.54, 19.5


[3]
Tl2ZnAgF8: computed PXRD pattern (λ = 1.5418 Å (Cu Kα)), based on a PBE-relaxed structure.
Intensities are scaled so that the largest is 100.

Cell lengths 7.1892, 7.1892, 8.0780 Å; angles 90.00, 90.00, 90.00 degrees
Space group I-4m2 (No. 119)
One atom of each set of equivalent atoms:
Tl (0.0000, 0.0000, 0.0000) (multiplicity 2)
Tl (0.0000, 0.5000, 0.2500) (multiplicity 2)
Zn (0.0000, 0.0000, 0.5000) (multiplicity 2)
Ag (0.0000, 0.5000, 0.7500) (multiplicity 2)
F (0.0000, 0.1941, 0.7985) (multiplicity 8)
F (0.0000, 0.2690, 0.4465) (multiplicity 8)

Principal peaks in the range 10° ≤ 2θ ≤ 80°, by angle:
index, two_theta, I/Imax
1 0 1, 16.51, 19.7
2 0 0, 24.77, 80.2
1 1 2, 28.22, 100.0
2 1 1, 29.91, 23.0
2 2 0, 35.31, 18.1
3 1 2, 45.80, 64.7
2 0 4, 51.93, 20.9
3 3 2, 59.12, 17.2


[4]
Tm2Ag2F7: computed PXRD pattern (λ = 1.5418 Å (Cu Kα)), based on a PBE-relaxed structure.
Intensities are scaled so that the largest is 100.

Cell lengths 8.0284, 7.2070, 6.1066 Å; angles 90.00, 90.22, 90.00 degrees
Space group C2/m (No. 12)
One atom of each set of equivalent atoms:
Tm (0.2244, 0.0000, 0.0002) (multiplicity 4)
Ag (0.0000, 0.3094, 0.5000) (multiplicity 4)
F (0.0000, 0.5000, 0.0000) (multiplicity 2)
F (0.0006, 0.0000, 0.2074) (multiplicity 4)
F (0.2494, 0.2499, 0.7899) (multiplicity 8)

Principal peaks in the range 10° ≤ 2θ ≤ 80°, by angle:
index, two_theta, I/Imax
0 0 1, 14.51, 18.9
1 1 -1, 22.06, 17.7
2 0 1, 26.57, 100.0
0 2 1, 28.77, 75.5
0 0 2, 29.25, 31.0
2 2 0, 33.42, 22.9
2 2 -2, 44.93, 26.8
2 2 2, 45.05, 26.7


[5]
TmZnAgF6: computed PXRD pattern (λ = 1.5418 Å (Cu Kα)), based on a PBE-relaxed structure.
Intensities are scaled so that the largest is 100.

Cell lengths 5.6987, 5.6987, 10.0850 Å; angles 90.00, 90.00, 120.00 degrees
Space group P-31c (No. 163)
One atom of each set of equivalent atoms:
Tm (0.3333, 0.6667, 0.2500) (multiplicity 2)
Zn (0.3333, 0.6667, 0.7500) (multiplicity 2)
Ag (0.0000, 0.0000, 0.0000) (multiplicity 2)
F (0.0109, 0.3741, 0.6405) (multiplicity 12)

Principal peaks in the range 10° ≤ 2θ ≤ 80°, by angle:
index, two_theta, I/Imax
0 0 2, 17.59, 16.0
1 0 1, 20.03, 19.4
1 0 2, 25.25, 100.0
1 1 0, 31.40, 44.7
2 0 2, 40.71, 25.8
1 1 4, 48.19, 49.7
2 1 2, 52.29, 26.2
3 0 0, 55.89, 18.9


[6]
U2AgF11: computed PXRD pattern (λ = 1.5418 Å (Cu Kα)), based on a PBE-relaxed structure.
Intensities are scaled so that the largest is 100.

Cell lengths 8.8058, 10.3666, 11.3062 Å; angles 90.00, 90.00, 90.00 degrees
Space group Ibam (No. 72)
One atom of each set of equivalent atoms:
U (0.1545, 0.1777, 0.0000) (multiplicity 8)
Ag (0.0000, 0.5000, 0.2500) (multiplicity 4)
F (0.0000, 0.0000, 0.0000) (multiplicity 4)
F (0.0871, 0.3005, 0.1348) (multiplicity 16)
F (0.1422, 0.2143, 0.5000) (multiplicity 8)
F (0.2401, 0.4314, 0.3709) (multiplicity 16)

Principal peaks in the range 10° ≤ 2θ ≤ 80°, by angle:
index, two_theta, I/Imax
0 0 2, 15.68, 40.7
1 1 2, 20.54, 39.1
1 2 1, 21.39, 50.6
0 2 2, 23.31, 100.0
0 0 4, 31.67, 19.3
2 1 3, 32.44, 16.0
3 3 2, 43.51, 30.0
1 4 3, 43.61, 15.8